Entry 1:
This entry pairs a crystal structure of HoPuRh with its calculated powder X-ray diffraction pattern. Radiation: Cu Kα (weighted mean of Kα1 and Kα2). Structure: a cell relaxed with GGA-PBE.
Peak positions follow from Bragg's law for the DFT cell and can differ from measured ones.

Structure:
abc: 3.770 4.424 8.142
angles: 90.00 90.00 90.00
Positions (direct):
Ho1 0.250 0.250 0.139
Ho2 0.750 0.750 0.861
Pu1 0.250 0.750 0.475
Pu2 0.750 0.250 0.525
Rh1 0.250 0.250 0.788
Rh2 0.750 0.750 0.212

Most intense lines, 10° ≤ 2θ ≤ 80°, low angle first:
Position (°2θ)	d (Å)	intensity
10.87	8.142	18
29.82	2.996	13
33.08	2.708	100
38.38	2.345	46
40.79	2.212	21
40.97	2.203	11
48.28	1.885	13
53.43	1.715	13
55.33	1.660	11
65.00	1.435	11


Entry 2:
This entry pairs a crystal structure of LiCa4Er3Se8 with its calculated powder X-ray diffraction pattern. Radiation: Cu Kα (weighted mean of Kα1 and Kα2). Structure: a cell relaxed with GGA-PBE.
Peak positions follow from Bragg's law for the DFT cell and can differ from measured ones.

Structure:
abc: 8.235 8.235 8.235
angles: 59.72 59.72 59.72
Positions (direct):
Li1 0.000 0.000 0.000
Ca1 0.000 0.000 0.500
Ca2 0.000 0.500 0.000
Ca3 0.500 0.000 0.000
Ca4 0.500 0.500 0.500
Er1 0.000 0.500 0.500
Er2 0.500 0.000 0.500
Er3 0.500 0.500 0.000
Se1 0.246 0.246 0.747
Se2 0.246 0.747 0.246
Se3 0.253 0.253 0.253
Se4 0.253 0.754 0.754
Se5 0.747 0.246 0.246
Se6 0.747 0.747 0.747
Se7 0.754 0.253 0.754
Se8 0.754 0.754 0.253

Most intense lines, 10° ≤ 2θ ≤ 80°, low angle first:
Position (°2θ)	d (Å)	intensity
13.17	6.725	29
15.25	5.811	8
25.47	3.497	9
30.77	2.905	100
43.98	2.059	36
44.18	2.050	36
54.80	1.675	19
64.10	1.453	12
72.64	1.302	16
72.93	1.297	16


Entry 3:
This entry pairs a crystal structure of NaLa2Br6 with its calculated powder X-ray diffraction pattern. Radiation: Cu Kα (weighted mean of Kα1 and Kα2). Structure: a cell relaxed with GGA-PBE.
Peak positions follow from Bragg's law for the DFT cell and can differ from measured ones.

Structure:
abc: 10.717 8.385 7.650
angles: 83.75 51.05 45.20
Positions (direct):
Na1 0.000 0.000 0.000
La1 0.337 0.337 0.663
La2 0.663 0.663 0.337
Br1 0.052 0.292 0.708
Br2 0.292 0.052 0.948
Br3 0.379 0.621 0.379
Br4 0.621 0.379 0.621
Br5 0.708 0.948 0.052
Br6 0.948 0.708 0.292

Most intense lines, 10° ≤ 2θ ≤ 80°, low angle first:
Position (°2θ)	d (Å)	intensity
12.33	7.179	60
30.31	2.949	100
33.79	2.652	30
33.92	2.643	31
39.55	2.279	61
48.63	1.872	21
58.30	1.583	14
58.46	1.579	15
62.52	1.486	19
64.48	1.445	14


Entry 4:
This entry pairs a crystal structure of Sc2Cl with its calculated powder X-ray diffraction pattern. Radiation: Cu Kα (weighted mean of Kα1 and Kα2). Structure: a cell relaxed with GGA-PBE.
Peak positions follow from Bragg's law for the DFT cell and can differ from measured ones.

Structure:
abc: 3.414 3.414 6.380
angles: 90.00 90.00 120.00
Positions (direct):
Sc1 0.333 0.667 0.315
Sc2 0.667 0.333 0.685
Cl1 0.000 0.000 0.000

Most intense lines, 10° ≤ 2θ ≤ 80°, low angle first:
Position (°2θ)	d (Å)	intensity
27.97	3.190	2
33.41	2.682	100
41.65	2.168	49
42.51	2.127	14
53.05	1.726	2
53.70	1.707	22
64.74	1.440	12
66.62	1.404	10
70.17	1.341	9
70.78	1.331	16


> Number 1 is which compound?

HoPuRh